1.
Diffraction record for Tc3Bi2Ir3. The X-ray powder pattern is computed, not measured: it uses the GGA-PBE geometry in OQMD and copper Kα.
Kinematic intensities with the Lorentz-polarization factor, no thermal factor.

Structural model:
```
8
Lattice="3.6145 0.0000 0.0000 0.0000 3.6145 0.0000 0.0000 0.0000 13.3883" Properties=species:S:1:pos:R:3 pbc="T T T"
Tc 0.0000 0.0000 0.0000
Tc 0.0000 0.0000 2.2827
Tc 0.0000 0.0000 11.1057
Bi 0.0000 1.8072 8.9469
Bi 1.8072 0.0000 4.4414
Ir 0.0000 0.0000 6.6942
Ir 1.8072 1.8072 0.0000
Ir 1.8072 1.8072 6.6942
```

Principal peaks in the range 15° ≤ 2θ ≤ 90°, in order of rising 2θ:
2θ (°), I/Imax
25.53, 59
28.06, 59
36.59, 30
37.67, 100
40.42, 56
40.68, 67
44.61, 63
50.50, 60
66.59, 52
88.08, 26

2.
Diffraction record for Cu7Ag3. The X-ray powder pattern is computed, not measured: it uses the GGA-PBE geometry in OQMD and copper Kα.
Kinematic intensities with the Lorentz-polarization factor, no thermal factor.

Structural model:
```
10
Lattice="2.7659 0.0000 0.0000 0.0000 2.7659 0.0000 0.0000 0.0000 17.8345" Properties=species:S:1:pos:R:3 pbc="T T T"
Cu 0.0000 0.0000 0.0000
Cu 0.0000 0.0000 3.8289
Cu 0.0000 0.0000 6.9769
Cu 0.0000 0.0000 10.8576
Cu 0.0000 0.0000 14.0056
Cu 1.3829 1.3829 5.3990
Cu 1.3829 1.3829 12.4355
Ag 1.3829 1.3829 1.9048
Ag 1.3829 1.3829 8.9173
Ag 1.3829 1.3829 15.9297
```

Principal peaks in the range 15° ≤ 2θ ≤ 90°, in order of rising 2θ:
2θ (°), I/Imax
24.96, 3
35.81, 5
41.31, 100
46.43, 37
51.22, 11
67.76, 11
71.61, 15
77.70, 3
82.55, 24
89.75, 14

3.
Diffraction record for Er2SiO4. The X-ray powder pattern is computed, not measured: it uses the GGA-PBE geometry in OQMD and copper Kα.
Kinematic intensities with the Lorentz-polarization factor, no thermal factor.

Structural model:
```
28
Lattice="6.0029 0.0000 0.0000 0.0000 6.6629 0.0000 -4.6215 0.0000 8.9120" Properties=species:S:1:pos:R:3 pbc="T T T"
Er -0.6484 0.4921 1.9765
Er -2.9591 2.8394 6.4325
Er 1.4007 4.1822 0.6318
Er -0.9100 5.8122 5.0878
Er 2.2914 0.8507 3.8243
Er -0.0194 2.4807 8.2803
Er 4.3405 3.8235 2.4795
Er 2.0297 6.1708 6.9355
Si 2.0049 1.0965 0.9935
Si -0.3059 2.2349 5.4495
Si 1.6872 4.4280 3.4625
Si -0.6235 5.5664 7.9186
O -2.5474 0.7012 5.6615
O -0.2366 2.6303 1.2055
O -0.7608 3.6001 4.5286
O -2.0047 4.9669 6.9176
O 0.3061 5.0274 2.4616
O 1.5500 6.3943 0.0726
O -0.0644 1.1296 4.1671
O -2.3752 2.2018 8.6231
O 3.7565 4.4611 0.2890
O 1.4457 5.5333 4.7450
O -0.1687 0.2686 8.8394
O 1.0753 1.6355 6.4504
O 3.3861 1.6960 1.9944
O 2.1421 3.0628 4.3834
O 1.6179 4.0326 7.7065
O 3.9287 5.9617 3.2505
```

Principal peaks in the range 15° ≤ 2θ ≤ 90°, in order of rising 2θ:
2θ (°), I/Imax
16.62, 67
23.42, 44
28.61, 94
30.02, 72
30.13, 51
31.55, 100
33.05, 47
33.18, 70
35.61, 58
35.82, 37

4.
Diffraction record for Er5Ge10Ir4. The X-ray powder pattern is computed, not measured: it uses the GGA-PBE geometry in OQMD and copper Kα.
Kinematic intensities with the Lorentz-polarization factor, no thermal factor.

Structural model:
```
38
Lattice="12.9950 0.0000 0.0000 0.0000 12.9950 0.0000 0.0000 0.0000 4.3024" Properties=species:S:1:pos:R:3 pbc="T T T"
Er 0.0000 0.0000 0.0000
Er 1.4963 5.0011 2.1512
Er 2.2543 8.7517 2.1512
Er 4.2432 2.2543 2.1512
Er 5.0011 11.4986 2.1512
Er 6.4975 6.4975 0.0000
Er 7.9938 1.4963 2.1512
Er 8.7517 10.7407 2.1512
Er 10.7407 4.2432 2.1512
Er 11.4986 7.9938 2.1512
Ge 0.1036 10.9795 2.1512
Ge 0.8703 7.3677 0.0000
Ge 2.0154 0.1036 2.1512
Ge 2.1274 2.6011 0.0000
Ge 2.6011 10.8676 0.0000
Ge 3.8964 4.3701 0.0000
Ge 4.3701 9.0985 0.0000
Ge 4.4820 6.6011 2.1512
Ge 5.6272 0.8703 0.0000
Ge 6.3939 4.4820 2.1512
Ge 6.6011 8.5129 2.1512
Ge 7.3677 12.1247 0.0000
Ge 8.5129 6.3939 2.1512
Ge 8.6248 3.8964 0.0000
Ge 9.0985 8.6248 0.0000
Ge 10.3939 2.1274 0.0000
Ge 10.8676 10.3939 0.0000
Ge 10.9795 12.8914 2.1512
Ge 12.1247 5.6272 0.0000
Ge 12.8914 2.0154 2.1512
Ir 0.2587 9.7924 0.0000
Ir 3.2026 0.2587 0.0000
Ir 3.2949 6.7562 0.0000
Ir 6.2388 3.2949 0.0000
Ir 6.7562 9.7000 0.0000
Ir 9.7000 6.2388 0.0000
Ir 9.7924 12.7363 0.0000
Ir 12.7363 3.2026 0.0000
```

Principal peaks in the range 15° ≤ 2θ ≤ 90°, in order of rising 2θ:
2θ (°), I/Imax
32.40, 28
34.60, 100
35.27, 61
35.99, 69
42.00, 54
42.31, 21
44.07, 23
44.68, 31
68.12, 21
71.98, 21

5.
Diffraction record for Y3Mg3Cd2Ir. The X-ray powder pattern is computed, not measured: it uses the GGA-PBE geometry in OQMD and copper Kα.
Kinematic intensities with the Lorentz-polarization factor, no thermal factor.

Structural model:
```
9
Lattice="7.5083 0.0000 0.0000 -3.7542 6.5024 0.0000 0.0000 0.0000 4.4400" Properties=species:S:1:pos:R:3 pbc="T T T"
Y -2.3003 3.9842 0.0000
Y 1.4539 2.5182 0.0000
Y 4.6006 0.0000 0.0000
Mg -0.8652 1.4985 2.2200
Mg 1.7304 0.0000 2.2200
Mg 2.8890 5.0039 2.2200
Cd 0.0000 4.3349 2.2200
Cd 3.7542 2.1675 2.2200
Ir 0.0000 0.0000 0.0000
```

Principal peaks in the range 15° ≤ 2θ ≤ 90°, in order of rising 2θ:
2θ (°), I/Imax
23.70, 65
24.27, 60
31.20, 55
34.18, 100
40.64, 30
41.67, 54
42.02, 62
47.59, 20
59.62, 37
66.07, 32

6.
Diffraction record for TmCd7. The X-ray powder pattern is computed, not measured: it uses the GGA-PBE geometry in OQMD and copper Kα.
Kinematic intensities with the Lorentz-polarization factor, no thermal factor.

Structural model:
```
16
Lattice="3.6831 -5.0705 0.0000 3.6831 5.0705 0.0000 0.0000 0.0000 9.4314" Properties=species:S:1:pos:R:3 pbc="T T T"
Tm 3.6831 4.8423 7.0736
Tm 3.6831 -4.8423 2.3579
Cd 2.2005 2.0222 7.0736
Cd 3.6831 2.9076 0.1760
Cd 3.6831 2.9076 4.5397
Cd 2.1504 0.0000 0.0000
Cd 2.1504 0.0000 4.7157
Cd 3.6831 0.8632 2.3579
Cd 2.2005 -2.0222 2.3579
Cd 5.1657 2.0222 7.0736
Cd 3.6831 -0.8632 7.0736
Cd 5.2158 0.0000 0.0000
Cd 5.2158 0.0000 4.7157
Cd 3.6831 -2.9076 4.8917
Cd 3.6831 -2.9076 9.2554
Cd 5.1657 -2.0222 2.3579
```

Principal peaks in the range 15° ≤ 2θ ≤ 90°, in order of rising 2θ:
2θ (°), I/Imax
31.48, 15
34.85, 31
35.41, 12
35.64, 100
36.71, 14
38.17, 32
59.08, 12
67.35, 13
72.54, 12
72.85, 10

7.
Diffraction record for TaGaS2. The X-ray powder pattern is computed, not measured: it uses the GGA-PBE geometry in OQMD and copper Kα.
Kinematic intensities with the Lorentz-polarization factor, no thermal factor.

Structural model:
```
8
Lattice="3.0886 0.0000 0.0000 0.0000 10.1743 0.0000 0.0000 0.0000 6.6780" Properties=species:S:1:pos:R:3 pbc="T T T"
Ta 0.0000 1.0505 1.6695
Ta 0.0000 9.1238 5.0085
Ga 0.9927 5.0872 0.0000
Ga 2.0959 5.0872 3.3390
S 1.5443 0.0000 0.0000
S 1.5443 0.0000 3.3390
S 1.5443 2.8753 1.6695
S 1.5443 7.2990 5.0085
```

Principal peaks in the range 15° ≤ 2θ ≤ 90°, in order of rising 2θ:
2θ (°), I/Imax
15.87, 100
17.43, 31
21.96, 56
28.13, 38
29.54, 21
30.24, 22
36.60, 48
39.76, 22
40.77, 21
41.81, 36

8.
Diffraction record for GdHoCo2I2. The X-ray powder pattern is computed, not measured: it uses the GGA-PBE geometry in OQMD and copper Kα.
Kinematic intensities with the Lorentz-polarization factor, no thermal factor.

Structural model:
```
6
Lattice="3.9789 0.0000 0.0000 -1.9895 3.4458 0.0000 0.0000 0.0000 12.2837" Properties=species:S:1:pos:R:3 pbc="T T T"
Gd 0.0000 0.0000 0.0000
Ho 0.0000 0.0000 8.6400
Co 0.0000 2.2972 10.3876
Co 1.9895 1.1486 10.4716
I 0.0000 2.2972 2.1787
I 1.9895 1.1486 6.4906
```

Principal peaks in the range 15° ≤ 2θ ≤ 90°, in order of rising 2θ:
2θ (°), I/Imax
26.87, 55
29.73, 23
34.00, 100
39.30, 35
44.24, 12
45.60, 44
58.08, 21
59.08, 10
65.41, 22
76.80, 19

9.
Diffraction record for Li2AlGaAu2. The X-ray powder pattern is computed, not measured: it uses the GGA-PBE geometry in OQMD and copper Kα.
Kinematic intensities with the Lorentz-polarization factor, no thermal factor.

Structural model:
```
6
Lattice="4.4825 0.0000 0.0000 -2.2413 3.8820 0.0000 0.0000 0.0000 5.5804" Properties=species:S:1:pos:R:3 pbc="T T T"
Li 0.0000 0.0000 1.3866
Li 0.0000 0.0000 4.1939
Al 0.0000 2.5880 2.7902
Ga 2.2413 1.2940 0.0000
Au 0.0000 2.5880 0.0000
Au 2.2413 1.2940 2.7902
```

Principal peaks in the range 15° ≤ 2θ ≤ 90°, in order of rising 2θ:
2θ (°), I/Imax
22.91, 73
28.00, 100
32.08, 43
39.79, 42
40.24, 76
49.73, 22
52.36, 65
65.81, 19
81.22, 20
82.10, 18

10.
Diffraction record for Li4AlZnAg2. The X-ray powder pattern is computed, not measured: it uses the GGA-PBE geometry in OQMD and copper Kα.
Kinematic intensities with the Lorentz-polarization factor, no thermal factor.

Structural model:
```
8
Lattice="4.4447 0.0000 0.0000 0.0000 4.4447 0.0000 0.0000 0.0000 6.2327" Properties=species:S:1:pos:R:3 pbc="T T T"
Li 0.0000 0.0000 0.0000
Li 0.0000 2.2224 1.5032
Li 2.2224 0.0000 4.7295
Li 2.2224 2.2224 3.1163
Al 0.0000 0.0000 3.1163
Zn 2.2224 2.2224 0.0000
Ag 0.0000 2.2224 4.6310
Ag 2.2224 0.0000 1.6017
```

Principal peaks in the range 15° ≤ 2θ ≤ 90°, in order of rising 2θ:
2θ (°), I/Imax
24.60, 100
28.40, 10
40.59, 29
40.78, 56
48.04, 31
48.36, 15
58.76, 9
64.93, 12
73.98, 18
74.35, 9

11.
Diffraction record for GaCo15. The X-ray powder pattern is computed, not measured: it uses the GGA-PBE geometry in OQMD and copper Kα.
Kinematic intensities with the Lorentz-polarization factor, no thermal factor.

Structural model:
```
32
Lattice="3.5034 0.0000 0.0000 0.0000 3.5034 0.0000 0.0000 0.0000 41.4498" Properties=species:S:1:pos:R:3 pbc="T T T"
Ga 0.8759 0.0000 7.3623
Ga 2.6276 0.0000 34.0875
Co 0.8759 0.0000 11.0315
Co 0.8759 0.0000 14.5597
Co 0.8759 0.0000 18.0812
Co 0.8759 0.0000 21.6044
Co 0.8759 0.0000 25.1247
Co 0.8759 0.0000 28.6382
Co 0.8759 0.0000 32.1436
Co 0.8759 1.7517 9.3063
Co 0.8759 1.7517 12.8113
Co 0.8759 1.7517 16.3248
Co 0.8759 1.7517 19.8449
Co 0.8759 1.7517 23.3641
Co 0.8759 1.7517 26.8828
Co 0.8759 1.7517 30.3916
Co 0.8759 1.7517 33.8867
Co 2.6276 0.0000 9.3063
Co 2.6276 0.0000 12.8116
Co 2.6276 0.0000 16.3251
Co 2.6276 0.0000 19.8454
Co 2.6276 0.0000 23.3686
Co 2.6276 0.0000 26.8902
Co 2.6276 0.0000 30.4183
Co 2.6276 1.7517 7.5631
Co 2.6276 1.7517 11.0582
Co 2.6276 1.7517 14.5670
Co 2.6276 1.7517 18.0858
Co 2.6276 1.7517 21.6049
Co 2.6276 1.7517 25.1251
Co 2.6276 1.7517 28.6385
Co 2.6276 1.7517 32.1435
```

Principal peaks in the range 15° ≤ 2θ ≤ 90°, in order of rising 2θ:
2θ (°), I/Imax
42.51, 4
43.73, 45
45.03, 100
47.88, 4
50.65, 12
52.23, 45
53.02, 12
75.72, 13
76.99, 13
77.64, 13

12.
Diffraction record for HoTaN2O. The X-ray powder pattern is computed, not measured: it uses the GGA-PBE geometry in OQMD and copper Kα.
Kinematic intensities with the Lorentz-polarization factor, no thermal factor.

Structural model:
```
10
Lattice="5.4228 0.0000 0.0000 -2.6831 4.8031 0.0000 -2.6082 -1.6543 4.9896" Properties=species:S:1:pos:R:3 pbc="T T T"
Ho 0.0000 0.0000 0.0000
Ho 0.0270 3.1712 0.9305
Ta -2.5886 1.7407 2.6695
Ta 0.1508 0.0015 3.2554
N -0.8452 1.2515 1.8274
N -1.9228 3.0534 4.0926
N 1.2872 1.3084 4.1434
N 2.2008 3.2448 1.6914
O -1.5523 0.1715 4.2400
O 1.7352 0.1454 1.8017
```

Principal peaks in the range 15° ≤ 2θ ≤ 90°, in order of rising 2θ:
2θ (°), I/Imax
30.13, 100
30.44, 86
30.67, 91
32.39, 86
32.57, 86
33.05, 83
44.62, 38
45.02, 32
56.42, 35
56.87, 33

> Number 11 is which compound?

GaCo15